(1)
Theoretical XRD peak list
Compound: ReSiPO
Radiation: copper Kα
Structure: a DFT-relaxed cell (PBE, OQMD)
No peak broadening, texture or thermal motion is included.

Cell lengths 3.600, 3.600, 9.423 Å; angles 90.00, 90.00, 90.00 degrees
Fractional positions:
Re1 0.250 0.750 0.000
Re2 0.750 0.250 0.000
Si1 0.250 0.250 0.402
Si2 0.750 0.750 0.598
P1 0.250 0.250 0.819
P2 0.750 0.750 0.181
O1 0.250 0.750 0.500
O2 0.750 0.250 0.500

The 10 most intense peaks (2θ = 10–90°), most intense first:
4.712 Å, 18.83°, intensity 100.0; 2.240 Å, 40.27°, intensity 71.1; 2.457 Å, 36.56°, intensity 66.5; 1.978 Å, 45.89°, intensity 40.2; 1.729 Å, 52.96°, intensity 37.0; 1.800 Å, 50.72°, intensity 27.2; 1.681 Å, 54.58°, intensity 23.9; 2.546 Å, 35.26°, intensity 23.1; 3.141 Å, 28.41°, intensity 20.9; 1.768 Å, 51.70°, intensity 20.1


(2)
Theoretical XRD peak list
Compound: Co3Pd3Pt2
Radiation: copper Kα
Structure: a DFT-relaxed cell (PBE, OQMD)
No peak broadening, texture or thermal motion is included.

Cell lengths 5.423, 5.423, 3.796 Å; angles 90.00, 90.00, 91.12 degrees
Fractional positions:
Co1 0.000 0.000 0.000
Co2 0.246 0.754 0.500
Co3 0.754 0.246 0.500
Pd1 0.238 0.238 0.500
Pd2 0.500 0.500 0.000
Pd3 0.762 0.762 0.500
Pt1 0.000 0.500 0.000
Pt2 0.500 0.000 0.000

The 10 most intense peaks (2θ = 10–90°), most intense first:
2.206 Å, 40.91°, intensity 100.0; 1.898 Å, 47.92°, intensity 31.3; 1.147 Å, 84.49°, intensity 23.4; 1.355 Å, 69.33°, intensity 20.3; 3.797 Å, 23.43°, intensity 17.8; 1.936 Å, 46.93°, intensity 16.8; 2.711 Å, 33.04°, intensity 15.6; 1.163 Å, 83.01°, intensity 12.4; 1.103 Å, 88.67°, intensity 10.7; 1.342 Å, 70.11°, intensity 9.7


(3)
Theoretical XRD peak list
Compound: AlNi4
Radiation: copper Kα
Structure: a DFT-relaxed cell (PBE, OQMD)
No peak broadening, texture or thermal motion is included.

Cell lengths 8.623, 8.623, 4.593 Å; angles 90.00, 90.00, 90.00 degrees
Fractional positions:
Al1 0.000 0.000 0.000
Al2 0.119 0.119 0.500
Al3 0.381 0.619 0.000
Al4 0.500 0.500 0.500
Al5 0.619 0.381 0.000
Al6 0.881 0.881 0.500
Ni1 0.036 0.370 0.500
Ni2 0.067 0.265 0.000
Ni3 0.130 0.536 0.000
Ni4 0.178 0.822 0.253
Ni5 0.178 0.822 0.747
Ni6 0.235 0.567 0.500
Ni7 0.265 0.067 0.000
Ni8 0.322 0.322 0.247
Ni9 0.322 0.322 0.753
Ni10 0.370 0.036 0.500
Ni11 0.433 0.765 0.500
Ni12 0.464 0.870 0.000
Ni13 0.536 0.130 0.000
Ni14 0.567 0.235 0.500
Ni15 0.630 0.964 0.500
Ni16 0.678 0.678 0.247
Ni17 0.678 0.678 0.753
Ni18 0.735 0.933 0.000
Ni19 0.765 0.433 0.500
Ni20 0.822 0.178 0.253
Ni21 0.822 0.178 0.747
Ni22 0.870 0.464 0.000
Ni23 0.933 0.735 0.000
Ni24 0.964 0.630 0.500

The 10 most intense peaks (2θ = 10–90°), most intense first:
2.091 Å, 43.26°, intensity 100.0; 1.903 Å, 47.79°, intensity 90.1; 1.973 Å, 46.00°, intensity 80.4; 2.032 Å, 44.58°, intensity 48.5; 1.859 Å, 49.01°, intensity 45.9; 2.027 Å, 44.71°, intensity 28.9; 6.097 Å, 14.53°, intensity 28.6; 1.834 Å, 49.70°, intensity 20.1; 1.235 Å, 77.22°, intensity 19.5; 2.149 Å, 42.04°, intensity 18.7


(4)
Theoretical XRD peak list
Compound: Gd2ReO5
Radiation: copper Kα
Structure: a DFT-relaxed cell (PBE, OQMD)
No peak broadening, texture or thermal motion is included.

Cell lengths 8.546, 8.546, 5.657 Å; angles 90.00, 90.00, 90.00 degrees
Fractional positions:
Gd1 0.100 0.608 0.250
Gd2 0.108 0.900 0.750
Gd3 0.392 0.600 0.750
Gd4 0.400 0.892 0.250
Gd5 0.600 0.108 0.750
Gd6 0.608 0.400 0.250
Gd7 0.892 0.100 0.250
Gd8 0.900 0.392 0.750
Re1 0.250 0.250 0.151
Re2 0.250 0.250 0.544
Re3 0.750 0.750 0.456
Re4 0.750 0.750 0.849
O1 0.047 0.158 0.604
O2 0.047 0.344 0.100
O3 0.156 0.047 0.100
O4 0.158 0.453 0.604
O5 0.250 0.750 0.000
O6 0.250 0.750 0.500
O7 0.342 0.047 0.604
O8 0.344 0.453 0.100
O9 0.453 0.156 0.100
O10 0.453 0.342 0.604
O11 0.547 0.658 0.396
O12 0.547 0.844 0.900
O13 0.656 0.547 0.900
O14 0.658 0.953 0.396
O15 0.750 0.250 0.000
O16 0.750 0.250 0.500
O17 0.842 0.547 0.396
O18 0.844 0.953 0.900
O19 0.953 0.656 0.900
O20 0.953 0.842 0.396

The 10 most intense peaks (2θ = 10–90°), most intense first:
3.167 Å, 28.18°, intensity 100.0; 2.703 Å, 33.15°, intensity 60.8; 1.691 Å, 54.24°, intensity 19.8; 1.528 Å, 60.60°, intensity 18.7; 1.911 Å, 47.58°, intensity 18.7; 2.685 Å, 33.37°, intensity 17.4; 1.705 Å, 53.77°, intensity 16.6; 3.022 Å, 29.56°, intensity 15.9; 2.186 Å, 41.30°, intensity 13.3; 1.641 Å, 56.05°, intensity 12.2


(5)
Theoretical XRD peak list
Compound: DyTmZn6
Radiation: copper Kα
Structure: a DFT-relaxed cell (PBE, OQMD)
No peak broadening, texture or thermal motion is included.

Cell lengths 4.643, 4.643, 6.577 Å; angles 90.00, 90.00, 90.00 degrees
Fractional positions:
Dy1 0.000 0.000 0.000
Tm1 0.500 0.500 0.500
Zn1 0.000 0.000 0.500
Zn2 0.000 0.500 0.253
Zn3 0.000 0.500 0.747
Zn4 0.500 0.000 0.253
Zn5 0.500 0.000 0.747
Zn6 0.500 0.500 0.000

The 10 most intense peaks (2θ = 10–90°), most intense first:
2.323 Å, 38.77°, intensity 100.0; 1.341 Å, 70.18°, intensity 33.1; 1.642 Å, 55.99°, intensity 16.7; 3.793 Å, 23.45°, intensity 14.4; 1.161 Å, 83.18°, intensity 10.3; 1.981 Å, 45.81°, intensity 7.6; 3.285 Å, 27.15°, intensity 7.5; 1.507 Å, 61.52°, intensity 3.3; 1.469 Å, 63.30°, intensity 3.0; 1.897 Å, 47.97°, intensity 2.2


(6)
Theoretical XRD peak list
Compound: Dy2TmNiSn3Pd2
Radiation: copper Kα
Structure: a DFT-relaxed cell (PBE, OQMD)
No peak broadening, texture or thermal motion is included.

Cell lengths 3.858, 7.531, 7.531 Å; angles 119.84, 90.00, 90.00 degrees
Fractional positions:
Dy1 0.000 0.201 0.799
Dy2 0.000 0.799 0.201
Tm1 0.000 0.601 0.601
Ni1 0.000 0.202 0.202
Sn1 0.500 0.201 0.452
Sn2 0.500 0.452 0.201
Sn3 0.500 0.950 0.950
Pd1 0.500 0.535 0.865
Pd2 0.500 0.865 0.535

The 10 most intense peaks (2θ = 10–90°), most intense first:
2.696 Å, 33.23°, intensity 100.0; 2.492 Å, 36.05°, intensity 63.0; 2.469 Å, 36.39°, intensity 32.6; 1.520 Å, 60.97°, intensity 22.0; 1.929 Å, 47.11°, intensity 20.2; 2.177 Å, 41.47°, intensity 19.9; 1.395 Å, 67.10°, intensity 16.2; 2.079 Å, 43.54°, intensity 16.2; 1.443 Å, 64.56°, intensity 16.0; 2.464 Å, 36.47°, intensity 15.3


(7)
Theoretical XRD peak list
Compound: Ni17Bi
Radiation: copper Kα
Structure: a DFT-relaxed cell (PBE, OQMD)
No peak broadening, texture or thermal motion is included.

Cell lengths 4.273, 4.931, 24.626 Å; angles 90.00, 90.02, 90.00 degrees
Fractional positions:
Ni1 0.000 0.000 0.000
Ni2 0.000 0.500 0.247
Ni3 0.001 0.500 0.000
Ni4 0.005 0.500 0.755
Ni5 0.165 0.247 0.409
Ni6 0.165 0.753 0.409
Ni7 0.166 0.250 0.165
Ni8 0.166 0.750 0.165
Ni9 0.168 0.250 0.918
Ni10 0.168 0.750 0.918
Ni11 0.331 0.000 0.835
Ni12 0.333 0.000 0.082
Ni13 0.333 0.000 0.328
Ni14 0.334 0.500 0.082
Ni15 0.334 0.500 0.836
Ni16 0.336 0.500 0.329
Ni17 0.499 0.250 0.247
Ni18 0.499 0.750 0.247
Ni19 0.500 0.250 0.000
Ni20 0.500 0.750 0.000
Ni21 0.502 0.253 0.755
Ni22 0.502 0.747 0.755
Ni23 0.661 0.000 0.410
Ni24 0.666 0.000 0.164
Ni25 0.667 0.000 0.917
Ni26 0.667 0.500 0.165
Ni27 0.669 0.500 0.918
Ni28 0.832 0.252 0.329
Ni29 0.832 0.748 0.329
Ni30 0.833 0.250 0.082
Ni31 0.833 0.750 0.082
Ni32 0.836 0.248 0.835
Ni33 0.836 0.752 0.835
Ni34 0.998 0.000 0.246
Bi1 0.001 0.000 0.709
Bi2 0.666 0.500 0.455

The 10 most intense peaks (2θ = 10–90°), most intense first:
2.018 Å, 44.92°, intensity 100.0; 1.755 Å, 52.12°, intensity 41.9; 8.209 Å, 10.78°, intensity 29.9; 1.233 Å, 77.38°, intensity 20.9; 1.895 Å, 48.02°, intensity 18.6; 2.052 Å, 44.13°, intensity 17.5; 2.105 Å, 42.98°, intensity 17.0; 2.067 Å, 43.79°, intensity 15.4; 2.862 Å, 31.26°, intensity 11.1; 1.826 Å, 49.95°, intensity 11.0


(8)
Theoretical XRD peak list
Compound: SrAuO3
Radiation: copper Kα
Structure: a DFT-relaxed cell (PBE, OQMD)
No peak broadening, texture or thermal motion is included.

Cell lengths 5.937, 7.910, 5.783 Å; angles 90.00, 90.00, 90.00 degrees
Fractional positions:
Sr1 0.051 0.250 0.013
Sr2 0.449 0.750 0.513
Sr3 0.551 0.250 0.487
Sr4 0.949 0.750 0.987
Au1 0.000 0.000 0.500
Au2 0.000 0.500 0.500
Au3 0.500 0.000 0.000
Au4 0.500 0.500 0.000
O1 0.037 0.750 0.403
O2 0.210 0.546 0.793
O3 0.210 0.954 0.793
O4 0.290 0.046 0.293
O5 0.290 0.454 0.293
O6 0.463 0.250 0.903
O7 0.537 0.750 0.097
O8 0.710 0.546 0.707
O9 0.710 0.954 0.707
O10 0.790 0.046 0.207
O11 0.790 0.454 0.207
O12 0.963 0.250 0.597

The 10 most intense peaks (2θ = 10–90°), most intense first:
2.861 Å, 31.27°, intensity 100.0; 4.143 Å, 21.45°, intensity 27.6; 2.969 Å, 30.10°, intensity 25.1; 2.892 Å, 30.92°, intensity 24.9; 2.071 Å, 43.70°, intensity 24.9; 1.663 Å, 55.22°, intensity 23.6; 1.692 Å, 54.20°, intensity 18.0; 1.430 Å, 65.23°, intensity 13.6; 1.978 Å, 45.89°, intensity 12.1; 3.955 Å, 22.48°, intensity 11.5